Theoretical PXRD pattern of Na3B7O12 for Cu Kα (weighted mean of Kα1 and Kα2), from a structure optimized by DFT (PBE).
Kinematic intensities with the Lorentz-polarization factor, no thermal factor.

Peak list (10 most intense, 2θ = 10–90°, by intensity)
| h k l | 2θ (°) | I_rel |
| --- | --- | --- |
| 0 0 2 | 20.24 | 100 |
| 0 1 2 | 23.97 | 47 |
| 1 2 0 | 27.65 | 46 |
| 1 1 -1 | 19.45 | 36 |
| 2 0 -2 | 30.72 | 35 |
| 0 1 0 | 10.75 | 29 |
| 0 1 1 | 15.52 | 27 |
| 3 1 -1 | 44.01 | 23 |
| 1 -3 0 | 33.07 | 23 |
| -1 2 1 | 25.36 | 23 |

Atomic structure:
a b c (Å): 6.735 8.383 8.986
angles (deg): 94.12 100.82 99.31
Element x y z (fractional)
1 Na 0.054 0.084 0.290
2 Na 0.260 0.222 0.972
3 Na 0.430 0.267 0.661
4 Na 0.570 0.733 0.339
5 Na 0.740 0.778 0.028
6 Na 0.946 0.916 0.710
7 B 0.103 0.734 0.254
8 B 0.161 0.451 0.288
9 B 0.183 0.493 0.725
10 B 0.275 0.876 0.055
11 B 0.290 0.846 0.532
12 B 0.397 0.947 0.811
13 B 0.491 0.307 0.299
14 B 0.509 0.693 0.701
15 B 0.603 0.053 0.189
16 B 0.710 0.154 0.468
17 B 0.725 0.124 0.945
18 B 0.817 0.507 0.275
19 B 0.839 0.549 0.712
20 B 0.897 0.266 0.746
21 O 0.042 0.596 0.693
22 O 0.104 0.820 0.114
23 O 0.119 0.335 0.753
24 O 0.174 0.856 0.390
25 O 0.225 0.604 0.252
26 O 0.238 0.924 0.909
27 O 0.276 0.331 0.301
28 O 0.278 0.954 0.653
29 O 0.388 0.537 0.729
30 O 0.422 0.737 0.549
31 O 0.472 0.887 0.141
32 O 0.476 0.176 0.181
33 O 0.524 0.824 0.819
34 O 0.528 0.113 0.859
35 O 0.578 0.263 0.451
36 O 0.612 0.463 0.271
37 O 0.722 0.046 0.347
38 O 0.724 0.669 0.699
39 O 0.762 0.076 0.091
40 O 0.775 0.396 0.748
41 O 0.826 0.144 0.610
42 O 0.881 0.665 0.247
43 O 0.896 0.180 0.886
44 O 0.958 0.404 0.307